Record 1
Structure and simulated X-ray diffraction stick pattern of Ce2Zn2In3 (DFT lattice parameters and positions (PBE); Cu Kα, 1.54184 Å).
Peak positions follow from Bragg's law for the DFT cell and can differ from measured ones.

Peak list (10 most intense, 10 to 90 degrees two-theta, in order of rising 2θ)
two_theta	I/Imax
32.0	497
33.2	240
34.7	1000
35.3	746
37.0	431
49.7	286
58.5	167
65.2	154
67.7	274
69.1	132

Structure:
Cell lengths 10.940, 10.940, 3.279 Å; angles 90.00, 90.00, 154.32 degrees
Fractional coordinates of all 7 atoms:
Ce: 0.138 0.862 0.000
Ce: 0.862 0.138 0.000
Zn: 0.429 0.571 0.500
Zn: 0.571 0.429 0.500
In: 0.000 0.000 0.500
In: 0.289 0.711 0.500
In: 0.711 0.289 0.500

Record 2
Structure and simulated X-ray diffraction stick pattern of Ce8U2O21 (DFT lattice parameters and positions (PBE); Cu Kα, 1.54184 Å).
Peak positions follow from Bragg's law for the DFT cell and can differ from measured ones.

Peak list (10 most intense, 10 to 90 degrees two-theta, in order of rising 2θ)
two_theta	I/Imax
28.4	1000
32.9	329
47.2	548
56.0	450
58.7	93
69.0	83
76.2	62
76.2	120
78.6	83
87.8	173

Structure:
Cell lengths 13.876, 13.876, 5.447 Å; angles 90.00, 90.00, 157.36 degrees
Fractional coordinates of all 31 atoms:
Ce: 0.096 0.904 0.000
Ce: 0.200 0.800 0.500
Ce: 0.300 0.700 0.000
Ce: 0.397 0.603 0.500
Ce: 0.603 0.397 0.500
Ce: 0.700 0.300 0.000
Ce: 0.800 0.200 0.500
Ce: 0.904 0.096 0.000
U: 0.000 0.000 0.500
U: 0.500 0.500 0.000
O: 0.000 0.000 0.000
O: 0.000 0.500 0.250
O: 0.000 0.500 0.750
O: 0.099 0.398 0.248
O: 0.099 0.398 0.752
O: 0.214 0.312 0.263
O: 0.214 0.312 0.737
O: 0.312 0.214 0.263
O: 0.312 0.214 0.737
O: 0.398 0.099 0.248
O: 0.398 0.099 0.752
O: 0.500 0.000 0.250
O: 0.500 0.000 0.750
O: 0.602 0.901 0.248
O: 0.602 0.901 0.752
O: 0.688 0.786 0.263
O: 0.688 0.786 0.737
O: 0.786 0.688 0.263
O: 0.786 0.688 0.737
O: 0.901 0.602 0.248
O: 0.901 0.602 0.752

Record 3
Structure and simulated X-ray diffraction stick pattern of Nd4Sm7Ho (DFT lattice parameters and positions (PBE); Cu Kα, 1.54184 Å).
Peak positions follow from Bragg's law for the DFT cell and can differ from measured ones.

Peak list (10 most intense, 10 to 90 degrees two-theta, in order of rising 2θ)
two_theta	I/Imax
29.8	395
30.7	1000
31.0	559
31.6	563
32.1	555
33.8	123
41.7	139
44.8	126
46.5	179
55.5	127

Structure:
Cell lengths 6.595, 6.965, 9.239 Å; angles 86.52, 77.34, 83.19 degrees
Fractional coordinates of all 12 atoms:
Nd: 0.145 0.303 0.282
Nd: 0.340 0.894 0.689
Nd: 0.660 0.106 0.311
Nd: 0.855 0.697 0.718
Sm: 0.011 0.252 0.949
Sm: 0.187 0.801 0.358
Sm: 0.306 0.401 0.617
Sm: 0.500 0.000 0.000
Sm: 0.694 0.599 0.383
Sm: 0.813 0.199 0.642
Sm: 0.989 0.748 0.051
Ho: 0.500 0.500 0.000